Record 1
For La5HoGa4, a crystal structure in Alexandria, relaxed with GGA-PBE gives the computed XRD peak list in this record (a wavelength of 1.5418 Å).
No peak broadening, texture or thermal motion is included.

Atomic structure:
a = 17.011 Å, b = 4.271 Å, c = 8.463 Å
α = 90.00°, β = 101.74°, γ = 90.00°
Space group C2/m (No. 12)
One atom of each set of equivalent atoms:
La: 0.000 0.000 0.000 [2 per cell]
La: 0.173 0.500 0.073 [4 per cell]
La: 0.173 0.500 0.618 [4 per cell]
Ho: 0.000 0.000 0.500 [2 per cell]
Ga: 0.031 0.500 0.276 [4 per cell]
Ga: 0.138 0.000 0.330 [4 per cell]

Largest 10 diffraction maxima, most intense first, 10 to 80 degrees two-theta:
Position (°2θ), intensity
31.3, 100
26.3, 83
32.0, 69
37.5, 66
32.2, 64
36.3, 43
42.3, 43
42.8, 36
54.2, 29
33.5, 27

***

Record 2
For Ba2ErPbO5, a crystal structure in Alexandria, relaxed with GGA-PBE gives the computed XRD peak list in this record (a wavelength of 1.5418 Å).
No peak broadening, texture or thermal motion is included.

Atomic structure:
a = 3.614 Å, b = 15.736 Å, c = 11.422 Å
α = 90.00°, β = 90.00°, γ = 90.00°
Space group Cmc2_1 (No. 36)
One atom of each set of equivalent atoms:
Ba: 0.000 0.125 0.000 [4 per cell]
Ba: 0.000 0.135 0.562 [4 per cell]
Er: 0.000 0.225 0.287 [4 per cell]
Pb: 0.000 0.490 0.763 [4 per cell]
O: 0.000 0.078 0.322 [4 per cell]
O: 0.000 0.280 0.916 [4 per cell]
O: 0.000 0.291 0.659 [4 per cell]
O: 0.000 0.366 0.290 [4 per cell]
O: 0.000 0.499 0.571 [4 per cell]

Largest 10 diffraction maxima, most intense first, 10 to 80 degrees two-theta:
Position (°2θ), intensity
27.5, 100
29.8, 63
30.0, 60
50.4, 54
31.3, 37
43.9, 36
34.7, 35
58.5, 25
50.5, 17
35.1, 17

***

Record 3
For Sc6GaAu5, a crystal structure in Alexandria, relaxed with GGA-PBE gives the computed XRD peak list in this record (a wavelength of 1.5418 Å).
No peak broadening, texture or thermal motion is included.

Atomic structure:
a = 4.772 Å, b = 14.413 Å, c = 6.871 Å
α = 90.00°, β = 90.00°, γ = 90.00°
Space group Cmmm (No. 65)
One atom of each set of equivalent atoms:
Sc: 0.000 0.000 0.244 [4 per cell]
Sc: 0.000 0.333 0.252 [8 per cell]
Ga: 0.000 0.500 0.500 [2 per cell]
Au: 0.000 0.155 0.500 [4 per cell]
Au: 0.000 0.171 0.000 [4 per cell]
Au: 0.000 0.500 0.000 [2 per cell]

Largest 10 diffraction maxima, most intense first, 10 to 80 degrees two-theta:
Position (°2θ), intensity
37.3, 100
26.3, 42
37.7, 25
37.4, 23
25.9, 23
67.8, 17
54.2, 16
67.4, 15
61.0, 12
79.5, 10

***

Record 4
For Tb3Nd3SmS8, a crystal structure in Alexandria, relaxed with GGA-PBE gives the computed XRD peak list in this record (a wavelength of 1.5418 Å).
No peak broadening, texture or thermal motion is included.

Atomic structure:
a = 7.9592 Å, b = 7.9592 Å, c = 19.6919 Å
α = 90.00°, β = 90.00°, γ = 120.00°
Space group R-3m (No. 166, hexagonal axes)
One atom of each set of equivalent atoms:
Tb: 0.0000 0.5000 0.0000 [9 per cell]
Nd: 0.0000 0.5000 0.5000 [9 per cell]
Sm: 0.0000 0.0000 0.0000 [3 per cell]
S: 0.0000 0.0000 0.2542 [6 per cell]
S: 0.0067 0.5033 0.2526 [18 per cell]

Largest 10 diffraction maxima, most intense first, 10 to 80 degrees two-theta:
Position (°2θ), intensity
31.7, 100
27.4, 50
45.3, 36
45.6, 36
56.6, 19
27.2, 17
53.9, 17
75.0, 16
75.5, 16
66.2, 11

***

Record 5
For Ce2TiS5, a crystal structure in Alexandria, relaxed with GGA-PBE gives the computed XRD peak list in this record (a wavelength of 1.5418 Å).
No peak broadening, texture or thermal motion is included.

Atomic structure:
a = 11.037 Å, b = 8.053 Å, c = 7.157 Å
α = 90.00°, β = 90.00°, γ = 90.00°
Space group Pnma (No. 62)
One atom of each set of equivalent atoms:
Ce: 0.170 0.000 0.074 [8 per cell]
Ti: 0.009 0.250 0.575 [4 per cell]
S: 0.006 0.250 0.940 [4 per cell]
S: 0.066 0.532 0.682 [8 per cell]
S: 0.194 0.250 0.370 [4 per cell]
S: 0.207 0.750 0.354 [4 per cell]

Largest 10 diffraction maxima, most intense first, 10 to 80 degrees two-theta:
Position (°2θ), intensity
34.5, 100
35.3, 98
27.3, 67
26.7, 38
47.3, 37
22.1, 37
45.0, 34
37.4, 33
34.8, 33
26.2, 32

***

Record 6
For FeCuP2Cl, a crystal structure in Alexandria, relaxed with GGA-PBE gives the computed XRD peak list in this record (a wavelength of 1.5418 Å).
No peak broadening, texture or thermal motion is included.

Atomic structure:
a = 4.209 Å, b = 4.209 Å, c = 5.078 Å
α = 90.00°, β = 90.00°, γ = 90.00°
Space group P4/mmm (No. 123)
One atom of each set of equivalent atoms:
Fe: 0.000 0.000 0.000 [1 per cell]
Cu: 0.500 0.500 0.500 [1 per cell]
P: 0.000 0.500 0.000 [2 per cell]
Cl: 0.000 0.000 0.500 [1 per cell]

Largest 10 diffraction maxima, most intense first, 10 to 80 degrees two-theta:
Position (°2θ), intensity
27.5, 100
43.0, 85
35.4, 77
34.9, 71
56.8, 70
30.0, 50
51.8, 34
73.8, 31
47.0, 27
62.4, 26

***

Record 7
For Te4Pd9, a crystal structure in Alexandria, relaxed with GGA-PBE gives the computed XRD peak list in this record (a wavelength of 1.5418 Å).
No peak broadening, texture or thermal motion is included.

Atomic structure:
a = 7.547 Å, b = 14.169 Å, c = 9.039 Å
α = 90.00°, β = 91.65°, γ = 90.00°
Space group P2_1/c (No. 14)
One atom of each set of equivalent atoms:
Te: 0.039 0.249 0.066 [4 per cell]
Te: 0.202 0.005 0.888 [4 per cell]
Te: 0.254 0.504 0.853 [4 per cell]
Te: 0.451 0.737 0.142 [4 per cell]
Pd: 0.000 0.132 0.307 [4 per cell]
Pd: 0.086 0.065 0.605 [4 per cell]
Pd: 0.154 0.670 0.702 [4 per cell]
Pd: 0.225 0.194 0.824 [4 per cell]
Pd: 0.293 0.678 0.396 [4 per cell]
Pd: 0.331 0.141 0.137 [4 per cell]
Pd: 0.390 0.548 0.144 [4 per cell]
Pd: 0.459 0.562 0.612 [4 per cell]
Pd: 0.485 0.150 0.608 [4 per cell]

Largest 10 diffraction maxima, most intense first, 10 to 80 degrees two-theta:
Position (°2θ), intensity
39.6, 100
39.2, 81
39.8, 75
41.6, 62
39.9, 58
40.6, 54
34.5, 51
45.3, 49
39.0, 41
32.2, 41

***

Record 8
For MgH2Pd4, a crystal structure in Alexandria, relaxed with GGA-PBE gives the computed XRD peak list in this record (a wavelength of 1.5418 Å).
No peak broadening, texture or thermal motion is included.

Atomic structure:
a = 4.945 Å, b = 5.519 Å, c = 6.947 Å
α = 105.62°, β = 109.67°, γ = 91.31°
Space group P1 (No. 1)
One atom of each set of equivalent atoms:
Mg: 0.000 0.000 0.000 [1 per cell]
Mg: 0.389 0.887 0.435 [1 per cell]
H: 0.272 0.470 0.699 [1 per cell]
H: 0.858 0.485 0.363 [1 per cell]
H: 0.871 0.377 0.779 [1 per cell]
H: 0.906 0.031 0.327 [1 per cell]
Pd: 0.180 0.500 0.028 [1 per cell]
Pd: 0.218 0.389 0.414 [1 per cell]
Pd: 0.409 0.800 0.822 [1 per cell]
Pd: 0.558 0.291 0.825 [1 per cell]
Pd: 0.597 0.189 0.210 [1 per cell]
Pd: 0.768 0.702 0.208 [1 per cell]
Pd: 0.808 0.600 0.620 [1 per cell]
Pd: 0.969 0.087 0.615 [1 per cell]

Largest 10 diffraction maxima, most intense first, 10 to 80 degrees two-theta:
Position (°2θ), intensity
40.6, 100
41.5, 89
37.6, 81
40.2, 49
41.0, 49
36.1, 42
65.2, 31
36.4, 26
64.7, 16
19.4, 15

***

Record 9
For CeZn8P6, a crystal structure in Alexandria, relaxed with GGA-PBE gives the computed XRD peak list in this record (a wavelength of 1.5418 Å).
No peak broadening, texture or thermal motion is included.

Atomic structure:
a = 7.2830 Å, b = 7.2830 Å, c = 13.0721 Å
α = 90.00°, β = 90.00°, γ = 120.00°
Space group P6_3cm (No. 185)
One atom of each set of equivalent atoms:
Ce: 0.0000 0.0000 0.0000 [2 per cell]
Zn: 0.0000 0.3119 0.2981 [6 per cell]
Zn: 0.0000 0.3759 0.6604 [6 per cell]
Zn: 0.3333 0.6667 0.4323 [4 per cell]
P: 0.0000 0.0000 0.2281 [2 per cell]
P: 0.0000 0.3794 0.4793 [6 per cell]
P: 0.3333 0.6667 0.2369 [4 per cell]

Largest 10 diffraction maxima, most intense first, 10 to 80 degrees two-theta:
Position (°2θ), intensity
43.0, 100
25.4, 64
28.0, 62
32.0, 50
42.6, 41
37.0, 32
30.8, 29
31.5, 23
50.9, 16
27.3, 16

***

Record 10
For Sm2Tm8Th3, a crystal structure in Alexandria, relaxed with GGA-PBE gives the computed XRD peak list in this record (a wavelength of 1.5418 Å).
No peak broadening, texture or thermal motion is included.

Atomic structure:
a = 5.580 Å, b = 6.732 Å, c = 22.091 Å
α = 90.00°, β = 90.00°, γ = 90.00°
Space group Immm (No. 71)
One atom of each set of equivalent atoms:
Sm: 0.000 0.000 0.224 [4 per cell]
Tm: 0.000 0.000 0.075 [4 per cell]
Tm: 0.000 0.259 0.351 [8 per cell]
Tm: 0.000 0.500 0.180 [4 per cell]
Th: 0.000 0.269 0.500 [4 per cell]
Th: 0.000 0.500 0.000 [2 per cell]

Largest 10 diffraction maxima, most intense first, 10 to 80 degrees two-theta:
Position (°2θ), intensity
31.3, 100
32.1, 90
32.6, 38
24.1, 26
56.7, 21
37.2, 19
63.6, 15
40.6, 14
64.7, 12
36.2, 12

***

Record 11
For La2Dy2Ho, a crystal structure in Alexandria, relaxed with GGA-PBE gives the computed XRD peak list in this record (a wavelength of 1.5418 Å).
No peak broadening, texture or thermal motion is included.

Atomic structure:
a = 8.802 Å, b = 9.714 Å, c = 8.910 Å
α = 90.00°, β = 112.99°, γ = 90.00°
Space group C2/c (No. 15)
One atom of each set of equivalent atoms:
La: 0.161 0.086 0.139 [8 per cell]
Dy: 0.000 0.500 0.000 [4 per cell]
Dy: 0.250 0.250 0.500 [4 per cell]
Ho: 0.000 0.208 0.750 [4 per cell]

Largest 10 diffraction maxima, most intense first, 10 to 80 degrees two-theta:
Position (°2θ), intensity
30.4, 100
33.2, 70
29.5, 56
31.5, 56
31.9, 49
27.4, 35
20.3, 26
34.5, 26
29.7, 25
36.7, 22